# Mg8Ga3Sn3
Theoretical XRD peak list, Cu Kα, 1.54184 Å. Input: a structure optimized by DFT (PBE).
Intensities are scaled so that the largest is 100.

Cell: 5.3577 8.2423 8.2955 Å, 112.66 97.16 108.33°
Space group P-1 (No. 2)
One atom of each set of equivalent atoms:
Mg1 0.0712 0.0785 0.2231 [2 per cell]
Mg2 0.1990 0.7087 0.1338 [2 per cell]
Mg3 0.3349 0.8276 0.5610 [2 per cell]
Mg4 0.3812 0.3634 0.0903 [2 per cell]
Ga1 0.0537 0.5806 0.7272 [2 per cell]
Ga2 0.5000 0.5000 0.5000 [1 per cell]
Sn1 0.2285 0.2241 0.6575 [2 per cell]
Sn2 0.5000 0.0000 0.0000 [1 per cell]

Main lines, most intense first (2θ from 5° to 70°):
hkl	d/Å	I_rel
2 -2 0	2.524	100
1 0 2	2.605	97
0 3 -1	2.579	96
1 1 -3	2.558	95
0 1 -2	4.097	75
-1 2 2	2.291	66
2 1 -1	2.212	61
1 -3 3	2.170	60
1 0 -1	4.722	48
1 1 0	3.415	43